CaTi2O4: theoretical X-ray powder pattern (λ = 1.5418 Å (Cu Kα)), based on a structure optimized by DFT (PBE).

Crystal structure
Cell: 8.8844 8.8844 8.8844 Å, 90.00 90.00 90.00°
Space group Fd-3m (No. 227, origin choice 2)
Asymmetric unit:
Ca1 0.1250 0.1250 0.1250
Ti1 0.0000 0.0000 0.5000
O1 0.0173 0.0173 0.7327

Most intense lines, 10 to 80 degrees two-theta, in order of rising 2θ:
17.3°, rel. 29.0; 28.4°, rel. 30.3; 33.5°, rel. 100.0; 35.0°, rel. 5.8; 40.6°, rel. 32.3; 50.3°, rel. 8.2; 53.6°, rel. 44.7; 58.8°, rel. 53.3; 69.4°, rel. 10.8; 70.3°, rel. 5.1